This entry pairs a crystal structure of H6AuC8S8N2 with its simulated X-ray diffraction stick pattern. Radiation: Cu Ka. Structure: the GGA-PBE geometry in OQMD.
Lines closer than 0.1° are merged.

Crystal structure
Lattice parameters (Å, degrees): 13.934 3.768 14.581 90.00 103.93 90.00
Positions (direct):
H: 0.075 0.109 0.272
H: 0.075 0.391 0.772
H: 0.083 0.024 0.851
H: 0.083 0.476 0.351
H: 0.156 0.090 0.388
H: 0.156 0.410 0.888
H: 0.844 0.590 0.112
H: 0.844 0.910 0.612
H: 0.917 0.524 0.649
H: 0.917 0.976 0.149
H: 0.925 0.609 0.228
H: 0.925 0.891 0.728
Au: 0.500 0.000 0.000
Au: 0.500 0.500 0.500
C: 0.125 0.239 0.828
C: 0.125 0.261 0.328
C: 0.193 0.026 0.695
C: 0.193 0.474 0.195
C: 0.300 0.048 0.845
C: 0.300 0.452 0.345
C: 0.366 0.569 0.294
C: 0.366 0.931 0.794
C: 0.634 0.069 0.206
C: 0.634 0.431 0.706
C: 0.700 0.548 0.655
C: 0.700 0.952 0.155
C: 0.807 0.526 0.805
C: 0.807 0.974 0.305
C: 0.875 0.739 0.672
C: 0.875 0.761 0.172
S: 0.090 0.056 0.610
S: 0.090 0.444 0.110
S: 0.306 0.616 0.176
S: 0.306 0.884 0.676
S: 0.328 0.113 0.965
S: 0.328 0.387 0.465
S: 0.490 0.633 0.339
S: 0.490 0.867 0.839
S: 0.510 0.133 0.161
S: 0.510 0.367 0.661
S: 0.672 0.613 0.535
S: 0.672 0.887 0.035
S: 0.694 0.116 0.324
S: 0.694 0.384 0.824
S: 0.910 0.556 0.890
S: 0.910 0.944 0.390
N: 0.205 0.102 0.790
N: 0.205 0.398 0.290
N: 0.795 0.602 0.710
N: 0.795 0.898 0.210

Peak list (6 most intense, 15 to 90 degrees two-theta, sorted by position)
| 2θ/deg | Rel. int. | h k l |
| --- | --- | --- |
| 15.47 | 27 | 1 0 2 |
| 15.80 | 55 | 2 0 -2 |
| 24.44 | 44 | 1 0 -4 |
| 24.93 | 100 | 1 1 -1 |
| 28.55 | 23 | 2 1 -2 |
| 33.12 | 21 | 5 0 0 |